Calculated X-ray powder pattern of Li2MnC2O6 for Cu Kα (λ = 1.5418 Å), from a crystal structure in Alexandria, relaxed with GGA+U.

Structure:
Lattice parameters (Å, degrees): 5.086 7.923 6.589 90.00 110.20 90.00
Space group P2_1/c (No. 14)
Asymmetric unit:
Li  0.175  0.043  0.369 x4
Mn  0.500  0.000  0.000 x2
C  0.328  0.735  0.141 x4
O  0.208  0.622  0.643 x4
O  0.221  0.592  0.172 x4
O  0.438  0.234  0.400 x4

Top 10 peaks for 10° ≤ 2θ ≤ 90°, low angle first:
2theta, intensity, (hkl)
18.20, 70, 0 1 1
18.59, 100, 1 0 0
21.74, 50, 1 1 0
22.24, 60, 1 1 -1
29.54, 28, 1 1 1
31.05, 75, 0 1 2
38.92, 35, 2 0 -2
39.27, 24, 1 3 -1
39.84, 31, 1 0 2
49.83, 30, 1 4 0